Structure and theoretical powder XRD pattern of Ac2PdO (a crystal structure in Alexandria, relaxed with PBE; Cu Ka).
Lines closer than 0.1° are merged.

Main lines, by angle (10 to 90 degrees two-theta):
h k l	two_theta	Rel. int.
1 1 1	25.04	74
1 1 -3	26.13	81
0 2 0	27.83	96
0 1 3	28.08	24
2 0 -2	28.22	100
0 0 4	32.63	62
2 2 -2	40.05	68
0 2 4	43.41	46
2 0 -6	45.02	28
2 2 -6	53.77	32

Atomic structure:
```
Ac2PdO
1.0
6.3364 0.0000 0.0000
0.0000 6.4103 0.0000
-5.6738 0.0000 10.9774
Ac Pd O
8 4 4
direct
0.0892 0.2388 0.1030 Ac
0.0892 0.7612 0.6030 Ac
0.3260 0.2163 0.8545 Ac
0.3260 0.7837 0.3545 Ac
0.6740 0.2163 0.6455 Ac
0.6740 0.7837 0.1455 Ac
0.9108 0.2388 0.3970 Ac
0.9108 0.7612 0.8970 Ac
0.3921 0.2879 0.3752 Pd
0.3921 0.7121 0.8752 Pd
0.6079 0.2879 0.1248 Pd
0.6079 0.7121 0.6248 Pd
0.0324 0.1372 0.6228 O
0.0324 0.8628 0.1228 O
0.9676 0.1372 0.8772 O
0.9676 0.8628 0.3772 O
```